Record 1
This entry pairs a crystal structure of Na6Sn3P with its computed PXRD pattern. Radiation: Cu Kα X-rays. Structure: DFT lattice parameters and positions (GGA-PBE).
Intensities are scaled so that the largest is 100.

Structural model:
Lattice parameters (Å, degrees): 9.176 6.286 13.109 90.00 132.26 90.00
Space group P2_1/c (No. 14)
Symmetry-distinct sites (fractional):
1 Na 0.097 0.113 0.429 x4
2 Na 0.254 0.575 0.439 x4
3 Na 0.373 0.743 0.231 x4
4 Sn 0.233 0.230 0.236 x4
5 Sn 0.500 0.000 0.500 x2
6 P 0.000 0.000 0.000 x2

Largest 12 diffraction maxima, in order of rising 2θ, 2θ = 10–90°:
Position (°2θ)	I/Imax
17.10	55
19.24	76
19.36	100
19.58	71
32.58	36
33.59	46
33.99	99
34.20	43
37.06	42
39.05	41
39.77	44
41.46	32

=====

Record 2
This entry pairs a crystal structure of Tb9YTh2 with its computed PXRD pattern. Radiation: Cu Kα X-rays. Structure: DFT lattice parameters and positions (GGA-PBE).
Intensities are scaled so that the largest is 100.

Structural model:
Lattice parameters (Å, degrees): 5.045 5.045 15.076 90.00 90.00 90.00
Space group P4/mmm (No. 123)
Symmetry-distinct sites (fractional):
1 Tb 0.000 0.000 0.000 x1
2 Tb 0.000 0.000 0.333 x2
3 Tb 0.000 0.500 0.169 x4
4 Tb 0.000 0.500 0.500 x2
5 Y 0.500 0.500 0.000 x1
6 Th 0.500 0.500 0.334 x2

Largest 12 diffraction maxima, in order of rising 2θ, 2θ = 10–90°:
Position (°2θ)	I/Imax
30.74	100
35.59	34
35.73	17
51.22	12
51.32	24
60.93	29
61.12	14
64.02	12
83.56	6
83.72	12
86.27	11
86.55	6

=====

Record 3
This entry pairs a crystal structure of PrDy4Ho6 with its computed PXRD pattern. Radiation: Cu Kα X-rays. Structure: DFT lattice parameters and positions (GGA-PBE).
Intensities are scaled so that the largest is 100.

Structural model:
Lattice parameters (Å, degrees): 5.694 9.615 25.638 90.00 90.00 90.00
Space group Cmcm (No. 63)
Symmetry-distinct sites (fractional):
1 Pr 0.000 0.184 0.250 x4
2 Dy 0.000 0.158 0.542 x8
3 Dy 0.000 0.474 0.621 x8
4 Ho 0.000 0.145 0.680 x8
5 Ho 0.000 0.187 0.102 x8
6 Ho 0.000 0.481 0.750 x4
7 Ho 0.000 0.500 0.000 x4

Largest 12 diffraction maxima, in order of rising 2θ, 2θ = 10–90°:
Position (°2θ)	I/Imax
30.47	64
30.69	45
31.42	60
32.05	100
32.24	12
33.41	43
33.61	11
44.50	33
55.35	12
56.37	38
57.87	12
60.45	13

=====

Record 4
This entry pairs a crystal structure of Pu3Ir2Pt with its computed PXRD pattern. Radiation: Cu Kα X-rays. Structure: DFT lattice parameters and positions (GGA-PBE).
Intensities are scaled so that the largest is 100.

Structural model:
Lattice parameters (Å, degrees): 5.162 15.769 2.986 90.00 90.00 90.00
Space group Cmmm (No. 65)
Symmetry-distinct sites (fractional):
1 Pu 0.000 0.000 0.000 x2
2 Pu 0.000 0.330 0.000 x4
3 Ir 0.000 0.169 0.500 x4
4 Pt 0.000 0.500 0.500 x2

Largest 12 diffraction maxima, in order of rising 2θ, 2θ = 10–90°:
Position (°2θ)	I/Imax
34.12	35
34.76	34
38.82	100
49.50	25
62.17	6
64.22	23
65.02	23
72.86	8
73.23	8
82.34	6
83.32	12
85.52	11

=====

Record 5
This entry pairs a crystal structure of LiBeCrH6 with its computed PXRD pattern. Radiation: Cu Kα X-rays. Structure: DFT lattice parameters and positions (GGA-PBE).
Intensities are scaled so that the largest is 100.

Structural model:
Lattice parameters (Å, degrees): 4.0869 4.0869 8.7316 90.00 90.00 120.00
Space group P6_3/mmc (No. 194)
Symmetry-distinct sites (fractional):
1 Li 0.0000 0.0000 0.0000 x2
2 Be 0.3333 0.6667 0.2500 x2
3 Cr 0.3333 0.6667 0.7500 x2
4 H 0.0016 0.5008 0.1219 x12

Largest 12 diffraction maxima, in order of rising 2θ, 2θ = 10–90°:
Position (°2θ)	I/Imax
20.34	64
25.16	30
27.19	100
32.57	45
40.11	34
41.36	10
44.33	28
49.23	30
52.78	14
58.98	10
62.23	21
71.32	10

=====

Record 6
This entry pairs a crystal structure of Hf6IrPt2 with its computed PXRD pattern. Radiation: Cu Kα X-rays. Structure: DFT lattice parameters and positions (GGA-PBE).
Intensities are scaled so that the largest is 100.

Structural model:
Lattice parameters (Å, degrees): 5.661 7.228 10.549 90.00 121.42 90.00
Space group P2_1/c (No. 14)
Symmetry-distinct sites (fractional):
1 Hf 0.069 0.061 0.240 x4
2 Hf 0.208 0.730 0.066 x4
3 Hf 0.384 0.150 0.043 x4
4 Ir 0.500 0.000 0.500 x2
5 Pt 0.323 0.097 0.716 x4

Largest 12 diffraction maxima, in order of rising 2θ, 2θ = 10–90°:
Position (°2θ)	I/Imax
31.09	30
31.75	22
33.55	41
34.02	18
35.40	27
35.70	100
36.33	18
40.06	19
40.70	16
41.90	30
42.53	18
45.43	18